Entry 1:
CePm2In6: simulated X-ray diffraction stick pattern (Cu Ka), based on a structure optimized by DFT (GGA-PBE).

Principal peaks in the range 2θ from 10° to 90°, in order of rising 2θ:
2θ (°), d [Å], I/Imax
31.93, 2.803, 1000
35.71, 2.515, 775
48.64, 1.872, 305
49.79, 1.831, 99
61.78, 1.502, 294
62.77, 1.480, 291
64.15, 1.452, 136
75.63, 1.257, 84
84.44, 1.147, 123
85.32, 1.138, 125

Cell and atoms:
```
9
Lattice="8.7110 0.0000 0.0000 -4.3555 7.5440 0.0000 0.0000 0.0000 3.6625" Properties=species:S:1:pos:R:3 pbc="T T T"
Ce 0.0000 0.0000 0.0000
Pm 0.0000 5.0293 0.0000
Pm 4.3555 2.5147 0.0000
In -1.4533 2.5172 1.8313
In -2.9022 5.0268 1.8313
In 2.9066 0.0000 1.8313
In 1.4533 2.5172 1.8313
In 5.8044 0.0000 1.8313
In 2.9022 5.0268 1.8313
```

Entry 2:
LiTlF3: simulated X-ray diffraction stick pattern (Cu Ka), based on a structure optimized by DFT (GGA-PBE).

Principal peaks in the range 2θ from 10° to 90°, in order of rising 2θ:
2θ (°), d [Å], I/Imax
12.58, 7.035, 1000
17.12, 5.179, 223
21.30, 4.171, 322
29.88, 2.990, 233
30.73, 2.910, 166
32.54, 2.752, 457
39.56, 2.278, 338
49.39, 1.845, 192
53.05, 1.726, 101
54.75, 1.677, 141

Cell and atoms:
```
10
Lattice="5.9799 0.0000 0.0000 -2.9900 5.1788 0.0000 0.0000 0.0000 7.0355" Properties=species:S:1:pos:R:3 pbc="T T T"
Li 0.0000 0.0000 1.5308
Li 0.0000 0.0000 5.5046
Tl 0.0000 3.4525 0.0000
Tl 2.9900 1.7263 0.0000
F -0.9238 1.6000 5.7858
F -2.0662 3.5787 1.2497
F 1.8475 0.0000 5.7858
F 0.9238 1.6000 1.2497
F 4.1324 0.0000 1.2497
F 2.0662 3.5787 5.7858
```

Entry 3:
LuTaFe4: simulated X-ray diffraction stick pattern (Cu Ka), based on a structure optimized by DFT (GGA-PBE).

Principal peaks in the range 2θ from 10° to 90°, in order of rising 2θ:
2θ (°), d [Å], I/Imax
22.02, 4.036, 227
36.35, 2.472, 734
42.91, 2.108, 1000
44.92, 2.018, 118
57.46, 1.604, 60
65.40, 1.427, 269
69.92, 1.345, 303
77.19, 1.236, 216
81.45, 1.182, 49
88.45, 1.105, 124

Cell and atoms:
```
6
Lattice="0.0000 3.4953 3.4953 3.4953 0.0000 3.4953 3.4953 3.4953 0.0000" Properties=species:S:1:pos:R:3 pbc="T T T"
Lu 0.0000 0.0000 0.0000
Ta 5.2429 5.2429 5.2429
Fe 2.6246 2.6246 2.6246
Fe 4.3659 4.3659 2.6246
Fe 4.3659 2.6246 4.3659
Fe 2.6246 4.3659 4.3659
```

Entry 4:
LiPm2Cd3: simulated X-ray diffraction stick pattern (Cu Ka), based on a structure optimized by DFT (GGA-PBE).

Principal peaks in the range 2θ from 10° to 90°, in order of rising 2θ:
2θ (°), d [Å], I/Imax
10.05, 8.801, 129
20.21, 4.393, 178
33.51, 2.674, 1000
35.39, 2.536, 776
49.53, 1.840, 325
54.43, 1.686, 76
62.30, 1.490, 210
62.43, 1.488, 109
63.60, 1.463, 94
66.62, 1.404, 236

Cell and atoms:
```
6
Lattice="3.3712 0.0000 0.0000 0.0000 5.0639 0.0000 0.0000 0.0000 8.8007" Properties=species:S:1:pos:R:3 pbc="T T T"
Li 0.0000 0.0000 0.0000
Pm 1.6856 0.0000 5.8505
Pm 1.6856 2.5320 1.5130
Cd 0.0000 0.0000 2.8648
Cd 0.0000 2.5320 4.4407
Cd 0.0000 2.5320 7.4351
```

- Which formula does entry 1 have?
  CePm2In6

Please write out number 3 again, unchanged.
LuTaFe4: simulated X-ray diffraction stick pattern (Cu Ka), based on a structure optimized by DFT (GGA-PBE).

Principal peaks in the range 2θ from 10° to 90°, in order of rising 2θ:
2θ (°), d [Å], I/Imax
22.02, 4.036, 227
36.35, 2.472, 734
42.91, 2.108, 1000
44.92, 2.018, 118
57.46, 1.604, 60
65.40, 1.427, 269
69.92, 1.345, 303
77.19, 1.236, 216
81.45, 1.182, 49
88.45, 1.105, 124

Cell and atoms:
```
6
Lattice="0.0000 3.4953 3.4953 3.4953 0.0000 3.4953 3.4953 3.4953 0.0000" Properties=species:S:1:pos:R:3 pbc="T T T"
Lu 0.0000 0.0000 0.0000
Ta 5.2429 5.2429 5.2429
Fe 2.6246 2.6246 2.6246
Fe 4.3659 4.3659 2.6246
Fe 4.3659 2.6246 4.3659
Fe 2.6246 4.3659 4.3659
```